Entry 1:
The following is a calculated X-ray diffraction stick pattern of Mn2CrInAs. It was derived from the PBE geometry in Alexandria, using Cu Kα.
Neutral-atom scattering factors, no anomalous dispersion.

Structural model:
Lattice parameters (Å, degrees): 4.6270 4.6270 5.3352 90.00 90.00 90.00
Space group P4/mmm (No. 123)
Unique sites:
Mn1 0.0000 0.5000 0.0000 x2
Cr1 0.0000 0.0000 0.5000 x1
In1 0.5000 0.5000 0.5000 x1
As1 0.5000 0.5000 0.0000 x1

Principal peaks in the range 5° ≤ 2θ ≤ 70°, in order of rising 2θ:
| two_theta | I/Imax | index |
| --- | --- | --- |
| 19.18 | 70 | 1 0 0 |
| 27.26 | 28 | 1 1 0 |
| 32.09 | 86 | 1 1 1 |
| 33.60 | 58 | 0 0 2 |
| 38.94 | 100 | 2 0 0 |
| 43.77 | 33 | 2 1 0 |
| 52.35 | 62 | 2 0 2 |
| 56.24 | 41 | 2 2 0 |
| 66.23 | 18 | 3 1 1 |
| 67.12 | 28 | 2 2 2 |

***

Entry 2:
The following is a calculated X-ray diffraction stick pattern of CrAs2IrN. It was derived from the PBE geometry in Alexandria, using Cu Kα.
Neutral-atom scattering factors, no anomalous dispersion.

Structural model:
Lattice parameters (Å, degrees): 4.5380 4.5380 4.5602 90.00 90.00 90.00
Space group P4/mmm (No. 123)
Unique sites:
Cr1 0.0000 0.0000 0.0000 x1
As1 0.0000 0.5000 0.0000 x2
Ir1 0.0000 0.0000 0.5000 x1
N1 0.5000 0.5000 0.5000 x1

Principal peaks in the range 5° ≤ 2θ ≤ 70°, in order of rising 2θ:
| two_theta | I/Imax | index |
| --- | --- | --- |
| 19.56 | 100 | 1 0 0 |
| 27.75 | 32 | 1 0 1 |
| 34.17 | 88 | 1 1 1 |
| 39.52 | 27 | 0 0 2 |
| 39.72 | 53 | 2 0 0 |
| 44.47 | 24 | 1 0 2 |
| 44.65 | 24 | 2 1 0 |
| 57.28 | 36 | 2 0 2 |
| 61.13 | 19 | 2 1 2 |
| 68.55 | 24 | 3 1 1 |

***

Please write out number 2 again, unchanged.
The following is a calculated X-ray diffraction stick pattern of CrAs2IrN. It was derived from the PBE geometry in Alexandria, using Cu Kα.
Neutral-atom scattering factors, no anomalous dispersion.

Structural model:
Lattice parameters (Å, degrees): 4.5380 4.5380 4.5602 90.00 90.00 90.00
Space group P4/mmm (No. 123)
Unique sites:
Cr1 0.0000 0.0000 0.0000 x1
As1 0.0000 0.5000 0.0000 x2
Ir1 0.0000 0.0000 0.5000 x1
N1 0.5000 0.5000 0.5000 x1

Principal peaks in the range 5° ≤ 2θ ≤ 70°, in order of rising 2θ:
| two_theta | I/Imax | index |
| --- | --- | --- |
| 19.56 | 100 | 1 0 0 |
| 27.75 | 32 | 1 0 1 |
| 34.17 | 88 | 1 1 1 |
| 39.52 | 27 | 0 0 2 |
| 39.72 | 53 | 2 0 0 |
| 44.47 | 24 | 1 0 2 |
| 44.65 | 24 | 2 1 0 |
| 57.28 | 36 | 2 0 2 |
| 61.13 | 19 | 2 1 2 |
| 68.55 | 24 | 3 1 1 |